Structure and computed PXRD pattern of Ti3FeBi5O15 (a DFT-relaxed cell (GGA+U, Alexandria); CuKα).

Largest 12 diffraction maxima, low angle first, 10° ≤ 2θ ≤ 90°:
two_theta  d/Å  I_rel  (hkl)
21.4  4.154  11  0 0 5
22.9  3.890  30  1 1 0
30.0  2.982  100  1 1 -5
32.2  2.777  21  0 2 0
32.6  2.749  24  2 0 -1
39.0  2.308  17  0 0 9
39.3  2.293  11  2 0 4
46.5  1.954  20  2 2 -1
47.7  1.908  11  1 1 9
51.7  1.768  14  2 0 -10
56.1  1.640  16  1 3 -5
56.5  1.628  17  3 1 -6

Structure:
Cell lengths 5.498, 5.553, 20.950 Å; angles 90.00, 97.49, 90.00 degrees
Space group P2_1 (No. 4)
Unique sites:
Ti (0.100, 0.000, 0.197) (multiplicity 2)
Ti (0.195, 0.013, 0.403) (multiplicity 2)
Ti (0.400, 0.997, 0.801) (multiplicity 2)
Fe (0.292, 0.014, 0.596) (multiplicity 2)
Bi (0.004, 0.414, 0.061) (multiplicity 2)
Bi (0.154, 0.458, 0.296) (multiplicity 2)
Bi (0.262, 0.471, 0.497) (multiplicity 2)
Bi (0.356, 0.453, 0.706) (multiplicity 2)
Bi (0.443, 0.411, 0.938) (multiplicity 2)
O (0.008, 0.507, 0.886) (multiplicity 2)
O (0.010, 0.335, 0.393) (multiplicity 2)
O (0.099, 0.335, 0.608) (multiplicity 2)
O (0.115, 0.255, 0.773) (multiplicity 2)
O (0.152, 0.753, 0.774) (multiplicity 2)
O (0.163, 0.057, 0.499) (multiplicity 2)
O (0.227, 0.049, 0.312) (multiplicity 2)
O (0.240, 0.190, 0.001) (multiplicity 2)
O (0.261, 0.690, 0.001) (multiplicity 2)
O (0.320, 0.299, 0.204) (multiplicity 2)
O (0.375, 0.012, 0.885) (multiplicity 2)
O (0.388, 0.802, 0.204) (multiplicity 2)
O (0.415, 0.050, 0.691) (multiplicity 2)
O (0.422, 0.756, 0.423) (multiplicity 2)
O (0.494, 0.250, 0.426) (multiplicity 2)